Entry 1:
Simulated powder X-ray diffraction pattern of TbTm4Zn4 for Cu Kα X-rays, from a crystal structure in Alexandria, relaxed with GGA-PBE.
Neutral-atom scattering factors, no anomalous dispersion.

Main lines, low angle first (2θ = 10–90°):
2theta, I/Imax, index
26.96, 63, 2 1 1
31.41, 100, 1 3 0
32.48, 52, 1 0 2
35.11, 17, 3 1 1
38.28, 21, 1 2 2
39.28, 14, 2 3 1
43.42, 24, 3 0 2
45.01, 32, 4 2 0
48.11, 26, 3 2 2
52.47, 17, 1 4 2
53.25, 20, 5 0 1
60.56, 13, 4 3 2

Unit cell a=9.0072 b=9.0072 c=5.7910 alpha=90.00 beta=90.00 gamma=90.00
Space group P4_2/n (No. 86, origin choice 2)
Asymmetric unit:
Tb 0.2500 0.2500 0.2500 (multiplicity 2)
Tm 0.0738 0.6596 0.1379 (multiplicity 8)
Zn 0.0237 0.6131 0.6296 (multiplicity 8)


Entry 2:
Simulated powder X-ray diffraction pattern of Li2Ni2As2H for Cu Kα X-rays, from a crystal structure in Alexandria, relaxed with GGA-PBE.
Neutral-atom scattering factors, no anomalous dispersion.

Main lines, low angle first (2θ = 10–90°):
2theta, I/Imax, index
14.15, 93, 0 0 2
24.66, 64, 1 0 1
31.99, 30, 1 0 3
36.63, 37, 1 1 2
43.38, 24, 0 0 6
44.65, 100, 1 1 4
48.27, 41, 2 0 0
54.94, 14, 2 1 1
59.06, 20, 0 0 8
66.90, 16, 2 0 6
79.63, 18, 2 0 8
87.56, 27, 3 1 4

Unit cell a=3.7707 b=3.7707 c=12.5174 alpha=90.00 beta=90.00 gamma=90.00
Space group I4/mmm (No. 139)
Asymmetric unit:
Li 0.0000 0.0000 0.1642 (multiplicity 4)
Ni 0.0000 0.5000 0.0000 (multiplicity 4)
As 0.0000 0.0000 0.3759 (multiplicity 4)
H 0.0000 0.0000 0.0000 (multiplicity 2)


Entry 3:
Simulated powder X-ray diffraction pattern of InSb2 for Cu Kα X-rays, from a crystal structure in Alexandria, relaxed with GGA-PBE.
Neutral-atom scattering factors, no anomalous dispersion.

Main lines, low angle first (2θ = 10–90°):
2theta, I/Imax, index
14.27, 12, 0 1 1
27.92, 100, 1 1 2
35.71, 8, 2 1 1
38.63, 24, 2 0 2
40.52, 26, 1 3 2
40.98, 8, 0 0 4
41.29, 9, 0 4 0
46.40, 12, 2 1 3
46.55, 8, 2 3 1
50.87, 8, 3 1 0
67.30, 10, 1 6 1
75.64, 7, 4 2 2

Unit cell a=5.5008 b=8.7456 c=8.8090 alpha=90.00 beta=90.00 gamma=90.00
Space group I2_12_12_1 (No. 24)
Asymmetric unit:
In 0.1242 0.0000 0.2500 (multiplicity 4)
Sb 0.0000 0.2500 0.7955 (multiplicity 4)
Sb 0.2500 0.4570 0.0000 (multiplicity 4)


Entry 4:
Simulated powder X-ray diffraction pattern of Pu3Ga9Ni2 for Cu Kα X-rays, from a crystal structure in Alexandria, relaxed with GGA-PBE.
Neutral-atom scattering factors, no anomalous dispersion.

Main lines, low angle first (2θ = 10–90°):
2theta, I/Imax, index
18.67, 17, 0 2 0
22.68, 30, 1 1 0
23.74, 21, 0 1 3
30.19, 31, 1 0 3
34.88, 24, 0 2 4
35.17, 48, 1 3 0
35.73, 100, 1 2 3
35.89, 32, 0 3 3
37.28, 29, 1 1 4
41.98, 39, 2 0 0
56.39, 18, 2 3 3
70.35, 19, 1 4 7

Unit cell a=4.3048 b=9.5053 c=12.2349 alpha=90.00 beta=90.00 gamma=90.00
Space group Immm (No. 71)
Asymmetric unit:
Pu 0.0000 0.0000 0.0000 (multiplicity 2)
Pu 0.0000 0.0000 0.3015 (multiplicity 4)
Ga 0.0000 0.2824 0.1331 (multiplicity 8)
Ga 0.0000 0.3629 0.3478 (multiplicity 8)
Ga 0.0000 0.5000 0.0000 (multiplicity 2)
Ni 0.0000 0.1862 0.5000 (multiplicity 4)